Starting from a PBE-relaxed structure, the powder X-ray diffraction pattern of CaSm15Ho4 was calculated for copper Kα.
Lines closer than 0.1° are merged.

Structure:
```
data_CaSm15Ho4
_cell_length_a 5.1192
_cell_length_b 5.1192
_cell_length_c 25.5250
_cell_angle_alpha 90.00
_cell_angle_beta 90.00
_cell_angle_gamma 90.00
_symmetry_space_group_name_H-M 'P 4/m m m'
_symmetry_Int_Tables_number 123
_symmetry_space_group_name_Hall '-P 4 2'
loop_
_atom_site_label
_atom_site_fract_x
_atom_site_fract_y
_atom_site_fract_z
Ca1 0.0000 0.0000 0.0000
Sm1 0.0000 0.5000 0.1042
Sm2 0.0000 0.5000 0.3017
Sm3 0.0000 0.5000 0.5000
Sm4 0.5000 0.5000 0.0000
Sm5 0.5000 0.5000 0.2014
Sm6 0.5000 0.5000 0.4005
Ho1 0.0000 0.0000 0.2016
Ho2 0.0000 0.0000 0.4008
```

Largest 10 diffraction maxima, sorted by position, 15° ≤ 2θ ≤ 90°:
30.27°, d = 2.953 Å, rel. 100
35.06°, d = 2.560 Å, rel. 34
35.16°, d = 2.552 Å, rel. 17
50.47°, d = 1.808 Å, rel. 36
59.95°, d = 1.543 Å, rel. 29
60.08°, d = 1.540 Å, rel. 14
62.95°, d = 1.476 Å, rel. 12
82.07°, d = 1.174 Å, rel. 6
82.19°, d = 1.173 Å, rel. 11
84.67°, d = 1.145 Å, rel. 6

---

Starting from a PBE-relaxed structure, the powder X-ray diffraction pattern of Hf2Ti2Te7 was calculated for copper Kα.
Lines closer than 0.1° are merged.

Structure:
```
data_Hf2Ti2Te7
_cell_length_a 8.0641
_cell_length_b 12.7023
_cell_length_c 7.2788
_cell_angle_alpha 90.00
_cell_angle_beta 97.04
_cell_angle_gamma 90.00
_symmetry_space_group_name_H-M 'C 1 2/m 1'
_symmetry_Int_Tables_number 12
loop_
_symmetry_equiv_pos_as_xyz
'x,y,z'
'-x,-y,-z'
'-x,y,-z'
'x,-y,z'
'x+1/2,y+1/2,z'
'-x+1/2,-y+1/2,-z'
'-x+1/2,y+1/2,-z'
'x+1/2,-y+1/2,z'
loop_
_atom_site_label
_atom_site_fract_x
_atom_site_fract_y
_atom_site_fract_z
Hf1 0.0000 0.1866 0.0000
Ti1 0.2068 0.0000 0.6110
Te1 0.0000 0.5000 0.5000
Te2 0.0983 0.0000 0.2295
Te3 0.2438 0.2997 0.2433
```

Largest 10 diffraction maxima, sorted by position, 15° ≤ 2θ ≤ 90°:
18.60°, d = 4.770 Å, rel. 97
18.87°, d = 4.703 Å, rel. 58
27.46°, d = 3.248 Å, rel. 94
31.26°, d = 2.861 Å, rel. 71
35.12°, d = 2.555 Å, rel. 58
35.50°, d = 2.529 Å, rel. 100
38.28°, d = 2.351 Å, rel. 45
39.70°, d = 2.271 Å, rel. 57
43.51°, d = 2.080 Å, rel. 45
50.12°, d = 1.820 Å, rel. 62